(1)
Simulated XRD peak list of Nb4Os for Cu Kα, 1.54184 Å, from a cell relaxed with GGA-PBE.

Cell and atoms:
```
data_Nb4Os
_space_group_name_H-M_alt 'P 1'
_space_group_IT_number 1
_space_group_name_Hall 'P 1'
_cell_length_a 7.2496
_cell_length_b 7.2496
_cell_length_c 7.2496
_cell_angle_alpha 135.01
_cell_angle_beta 135.01
_cell_angle_gamma 65.51
loop_
_atom_site_label
_atom_site_type_symbol
_atom_site_fract_x
_atom_site_fract_y
_atom_site_fract_z
_atom_site_occupancy
Nb1 Nb 0.1605 0.8145 0.8778 1
Nb2 Nb 0.2173 0.3395 0.1540 1
Nb3 Nb 0.3145 0.9366 0.6540 1
Nb4 Nb 0.4366 0.2827 0.6222 1
Nb5 Nb 0.5634 0.7173 0.3778 1
Nb6 Nb 0.6855 0.0634 0.3460 1
Nb7 Nb 0.7827 0.6605 0.8460 1
Nb8 Nb 0.8395 0.1855 0.1222 1
Os1 Os 0.1250 0.3750 0.7500 1
Os2 Os 0.8750 0.6250 0.2500 1
```

Top 8 peaks for 10 to 80 degrees two-theta, low angle first:
2θ = 17.56°, I = 30
2θ = 27.03°, I = 78
2θ = 36.98°, I = 100
2θ = 37.36°, I = 62
2θ = 40.40°, I = 44
2θ = 42.70°, I = 80
2θ = 44.15°, I = 36
2θ = 54.46°, I = 39


(2)
Simulated XRD peak list of Ba2ZnAg3Pb4 for Cu Kα, 1.54184 Å, from a cell relaxed with GGA-PBE.

Cell and atoms:
```
data_Ba2ZnAg3Pb4
_space_group_name_H-M_alt 'P 1'
_space_group_IT_number 1
_space_group_name_Hall 'P 1'
_cell_length_a 4.9517
_cell_length_b 4.9517
_cell_length_c 11.9727
_cell_angle_alpha 90.00
_cell_angle_beta 90.00
_cell_angle_gamma 90.00
loop_
_atom_site_label
_atom_site_type_symbol
_atom_site_fract_x
_atom_site_fract_y
_atom_site_fract_z
_atom_site_occupancy
Ba1 Ba 0.0000 0.5000 0.2391 1
Ba2 Ba 0.5000 0.0000 0.7609 1
Zn1 Zn 0.5000 0.5000 0.0000 1
Ag1 Ag 0.0000 0.0000 0.0000 1
Ag2 Ag 0.0000 0.5000 0.6380 1
Ag3 Ag 0.5000 0.0000 0.3620 1
Pb1 Pb 0.0000 0.0000 0.5000 1
Pb2 Pb 0.0000 0.5000 0.8757 1
Pb3 Pb 0.5000 0.0000 0.1243 1
Pb4 Pb 0.5000 0.5000 0.5000 1
```

Top 8 peaks for 10 to 80 degrees two-theta, low angle first:
2θ = 28.73°, I = 61
2θ = 29.56°, I = 100
2θ = 36.28°, I = 82
2θ = 39.61°, I = 54
2θ = 41.91°, I = 27
2θ = 46.92°, I = 32
2θ = 52.25°, I = 29
2θ = 61.18°, I = 25


(3)
Simulated XRD peak list of Cd3B2O6 for Cu Kα, 1.54184 Å, from a cell relaxed with GGA-PBE.

Cell and atoms:
```
data_Cd3B2O6
_space_group_name_H-M_alt 'P 1'
_space_group_IT_number 1
_space_group_name_Hall 'P 1'
_cell_length_a 6.2208
_cell_length_b 6.3118
_cell_length_c 7.5664
_cell_angle_alpha 75.79
_cell_angle_beta 80.31
_cell_angle_gamma 81.89
loop_
_atom_site_label
_atom_site_type_symbol
_atom_site_fract_x
_atom_site_fract_y
_atom_site_fract_z
_atom_site_occupancy
Cd1 Cd 0.1229 0.2390 0.0000 1
Cd2 Cd 0.2285 0.0648 0.5592 1
Cd3 Cd 0.3701 0.5560 0.2941 1
Cd4 Cd 0.6299 0.4440 0.7059 1
Cd5 Cd 0.7715 0.9352 0.4408 1
Cd6 Cd 0.8771 0.7610 0.0000 1
B1 B 0.1200 0.5666 0.6373 1
B2 B 0.4122 0.8324 0.8735 1
B3 B 0.5878 0.1676 0.1265 1
B4 B 0.8800 0.4334 0.3627 1
O1 O 0.0342 0.4702 0.2050 1
O2 O 0.1080 0.7583 0.4980 1
O3 O 0.1942 0.9297 0.8835 1
O4 O 0.2914 0.4053 0.6099 1
O5 O 0.4801 0.1740 0.3026 1
O6 O 0.4869 0.2569 0.9730 1
O7 O 0.5131 0.7431 0.0270 1
O8 O 0.5199 0.8260 0.6974 1
O9 O 0.7086 0.5947 0.3901 1
O10 O 0.8058 0.0703 0.1165 1
O11 O 0.8920 0.2417 0.5020 1
O12 O 0.9658 0.5298 0.7950 1
```

Top 8 peaks for 10 to 80 degrees two-theta, low angle first:
2θ = 21.68°, I = 37
2θ = 25.57°, I = 39
2θ = 26.89°, I = 45
2θ = 29.13°, I = 57
2θ = 30.16°, I = 41
2θ = 30.36°, I = 32
2θ = 31.43°, I = 100
2θ = 38.08°, I = 34


(4)
Simulated XRD peak list of Tl3As2 for Cu Kα, 1.54184 Å, from a cell relaxed with GGA-PBE.

Cell and atoms:
```
data_Tl3As2
_space_group_name_H-M_alt 'P 1'
_space_group_IT_number 1
_space_group_name_Hall 'P 1'
_cell_length_a 4.8018
_cell_length_b 4.8018
_cell_length_c 7.3733
_cell_angle_alpha 90.00
_cell_angle_beta 90.00
_cell_angle_gamma 120.00
loop_
_atom_site_label
_atom_site_type_symbol
_atom_site_fract_x
_atom_site_fract_y
_atom_site_fract_z
_atom_site_occupancy
Tl1 Tl 0.0000 0.0000 0.0000 1
Tl2 Tl 0.3333 0.6667 0.3495 1
Tl3 Tl 0.6667 0.3333 0.6505 1
As1 As 0.3333 0.6667 0.7632 1
As2 As 0.6667 0.3333 0.2368 1
```

Top 8 peaks for 10 to 80 degrees two-theta, low angle first:
2θ = 24.58°, I = 99
2θ = 32.46°, I = 100
2θ = 37.46°, I = 82
2θ = 45.32°, I = 20
2θ = 50.39°, I = 30
2θ = 53.34°, I = 31
2θ = 60.20°, I = 18
2θ = 64.44°, I = 28


(5)
Simulated XRD peak list of Rb3Pm3RhO8 for Cu Kα, 1.54184 Å, from a cell relaxed with GGA-PBE.

Cell and atoms:
```
data_Rb3Pm3RhO8
_space_group_name_H-M_alt 'P 1'
_space_group_IT_number 1
_space_group_name_Hall 'P 1'
_cell_length_a 7.7440
_cell_length_b 7.7440
_cell_length_c 7.7440
_cell_angle_alpha 53.78
_cell_angle_beta 53.78
_cell_angle_gamma 53.78
loop_
_atom_site_label
_atom_site_type_symbol
_atom_site_fract_x
_atom_site_fract_y
_atom_site_fract_z
_atom_site_occupancy
Rb1 Rb 0.0000 0.5000 0.5000 1
Rb2 Rb 0.5000 0.0000 0.5000 1
Rb3 Rb 0.5000 0.5000 0.0000 1
Pm1 Pm 0.0000 0.0000 0.5000 1
Pm2 Pm 0.0000 0.5000 0.0000 1
Pm3 Pm 0.5000 0.0000 0.0000 1
Rh1 Rh 0.5000 0.5000 0.5000 1
O1 O 0.2262 0.2262 0.2262 1
O2 O 0.2549 0.7057 0.7057 1
O3 O 0.2943 0.2943 0.7451 1
O4 O 0.2943 0.7451 0.2943 1
O5 O 0.7057 0.2549 0.7057 1
O6 O 0.7057 0.7057 0.2549 1
O7 O 0.7451 0.2943 0.2943 1
O8 O 0.7738 0.7738 0.7738 1
```

Top 8 peaks for 10 to 80 degrees two-theta, low angle first:
2θ = 13.41°, I = 52
2θ = 27.00°, I = 42
2θ = 30.83°, I = 77
2θ = 34.68°, I = 100
2θ = 47.39°, I = 34
2θ = 52.23°, I = 31
2θ = 55.39°, I = 22
2θ = 59.76°, I = 32


(6)
Simulated XRD peak list of BaDy4YS8 for Cu Kα, 1.54184 Å, from a cell relaxed with GGA-PBE.

Cell and atoms:
```
data_BaDy4YS8
_space_group_name_H-M_alt 'P 1'
_space_group_IT_number 1
_space_group_name_Hall 'P 1'
_cell_length_a 8.2450
_cell_length_b 8.2450
_cell_length_c 8.2450
_cell_angle_alpha 59.94
_cell_angle_beta 59.94
_cell_angle_gamma 59.94
loop_
_atom_site_label
_atom_site_type_symbol
_atom_site_fract_x
_atom_site_fract_y
_atom_site_fract_z
_atom_site_occupancy
Ba1 Ba 0.0000 0.0000 0.0000 1
Dy1 Dy 0.1200 0.6271 0.6271 1
Dy2 Dy 0.2505 0.2505 0.2505 1
Dy3 Dy 0.6271 0.1200 0.6271 1
Dy4 Dy 0.6271 0.6271 0.1200 1
Y1 Y 0.6271 0.6271 0.6271 1
S1 S 0.3822 0.3822 0.8541 1
S2 S 0.3822 0.8541 0.3822 1
S3 S 0.3825 0.3825 0.3825 1
S4 S 0.4293 0.8578 0.8578 1
S5 S 0.8541 0.3822 0.3822 1
S6 S 0.8571 0.8571 0.8571 1
S7 S 0.8578 0.4293 0.8578 1
S8 S 0.8578 0.8578 0.4293 1
```

Top 8 peaks for 10 to 80 degrees two-theta, low angle first:
2θ = 21.56°, I = 30
2θ = 25.35°, I = 100
2θ = 30.69°, I = 19
2θ = 37.82°, I = 13
2θ = 40.20°, I = 47
2θ = 43.95°, I = 58
2θ = 51.42°, I = 15
2θ = 61.07°, I = 24


(7)
Simulated XRD peak list of RbAu2 for Cu Kα, 1.54184 Å, from a cell relaxed with GGA-PBE.

Cell and atoms:
```
data_RbAu2
_space_group_name_H-M_alt 'P 1'
_space_group_IT_number 1
_space_group_name_Hall 'P 1'
_cell_length_a 12.4527
_cell_length_b 4.8025
_cell_length_c 6.7890
_cell_angle_alpha 90.00
_cell_angle_beta 114.22
_cell_angle_gamma 90.00
loop_
_atom_site_label
_atom_site_type_symbol
_atom_site_fract_x
_atom_site_fract_y
_atom_site_fract_z
_atom_site_occupancy
Rb1 Rb 0.1089 0.0000 0.3026 1
Rb2 Rb 0.3911 0.5000 0.6974 1
Rb3 Rb 0.6089 0.5000 0.3026 1
Rb4 Rb 0.8911 0.0000 0.6974 1
Au1 Au 0.1007 0.5000 0.6892 1
Au2 Au 0.2076 0.0000 0.8874 1
Au3 Au 0.2924 0.5000 0.1126 1
Au4 Au 0.3993 0.0000 0.3108 1
Au5 Au 0.6007 0.0000 0.6892 1
Au6 Au 0.7076 0.5000 0.8874 1
Au7 Au 0.7924 0.0000 0.1126 1
Au8 Au 0.8993 0.5000 0.3108 1
```

Top 8 peaks for 10 to 80 degrees two-theta, low angle first:
2θ = 16.29°, I = 100
2θ = 28.83°, I = 34
2θ = 32.55°, I = 21
2θ = 32.92°, I = 34
2θ = 37.51°, I = 87
2θ = 38.05°, I = 36
2θ = 41.09°, I = 21
2θ = 50.70°, I = 20


(8)
Simulated XRD peak list of MnAl2Os3 for Cu Kα, 1.54184 Å, from a cell relaxed with GGA-PBE.

Cell and atoms:
```
data_MnAl2Os3
_space_group_name_H-M_alt 'P 1'
_space_group_IT_number 1
_space_group_name_Hall 'P 1'
_cell_length_a 6.7081
_cell_length_b 6.7081
_cell_length_c 6.0293
_cell_angle_alpha 90.00
_cell_angle_beta 90.00
_cell_angle_gamma 143.16
loop_
_atom_site_label
_atom_site_type_symbol
_atom_site_fract_x
_atom_site_fract_y
_atom_site_fract_z
_atom_site_occupancy
Mn1 Mn 0.1652 0.8348 0.0000 1
Mn2 Mn 0.8348 0.1652 0.0000 1
Al1 Al 0.1672 0.8328 0.5000 1
Al2 Al 0.5000 0.5000 0.0000 1
Al3 Al 0.5000 0.5000 0.5000 1
Al4 Al 0.8328 0.1672 0.5000 1
Os1 Os 0.0000 0.0000 0.2476 1
Os2 Os 0.0000 0.0000 0.7524 1
Os3 Os 0.3317 0.6683 0.2452 1
Os4 Os 0.3317 0.6683 0.7548 1
Os5 Os 0.6683 0.3317 0.2452 1
Os6 Os 0.6683 0.3317 0.7548 1
```

Top 8 peaks for 10 to 80 degrees two-theta, low angle first:
2θ = 29.63°, I = 24
2θ = 29.79°, I = 47
2θ = 42.54°, I = 100
2θ = 42.66°, I = 20
2θ = 52.78°, I = 20
2θ = 61.88°, I = 13
2θ = 77.73°, I = 14
2θ = 77.97°, I = 27


(9)
Simulated XRD peak list of Rb2MgTl6Sn for Cu Kα, 1.54184 Å, from a cell relaxed with GGA-PBE.

Cell and atoms:
```
data_Rb2MgTl6Sn
_space_group_name_H-M_alt 'P 1'
_space_group_IT_number 1
_space_group_name_Hall 'P 1'
_cell_length_a 7.7991
_cell_length_b 7.8079
_cell_length_c 8.1353
_cell_angle_alpha 63.03
_cell_angle_beta 62.42
_cell_angle_gamma 61.45
loop_
_atom_site_label
_atom_site_type_symbol
_atom_site_fract_x
_atom_site_fract_y
_atom_site_fract_z
_atom_site_occupancy
Rb1 Rb 0.1938 0.1906 0.4289 1
Rb2 Rb 0.8062 0.8094 0.5711 1
Mg1 Mg 0.0000 0.0000 0.0000 1
Tl1 Tl 0.1547 0.6364 0.8653 1
Tl2 Tl 0.3422 0.1508 0.8645 1
Tl3 Tl 0.3569 0.6608 0.1350 1
Tl4 Tl 0.6431 0.3392 0.8650 1
Tl5 Tl 0.6578 0.8492 0.1355 1
Tl6 Tl 0.8453 0.3636 0.1347 1
Sn1 Sn 0.5000 0.5000 0.5000 1
```

Top 8 peaks for 10 to 80 degrees two-theta, low angle first:
2θ = 12.86°, I = 100
2θ = 13.57°, I = 46
2θ = 25.95°, I = 76
2θ = 26.00°, I = 74
2θ = 26.41°, I = 73
2θ = 34.59°, I = 76
2θ = 35.65°, I = 59
2θ = 36.18°, I = 64


(10)
Simulated XRD peak list of Y5Rh3 for Cu Kα, 1.54184 Å, from a cell relaxed with GGA-PBE.

Cell and atoms:
```
data_Y5Rh3
_space_group_name_H-M_alt 'P 1'
_space_group_IT_number 1
_space_group_name_Hall 'P 1'
_cell_length_a 6.2980
_cell_length_b 7.5085
_cell_length_c 8.6338
_cell_angle_alpha 87.93
_cell_angle_beta 78.19
_cell_angle_gamma 78.67
loop_
_atom_site_label
_atom_site_type_symbol
_atom_site_fract_x
_atom_site_fract_y
_atom_site_fract_z
_atom_site_occupancy
Y1 Y 0.0088 0.1989 0.1511 1
Y2 Y 0.1125 0.3261 0.7392 1
Y3 Y 0.2688 0.9534 0.4615 1
Y4 Y 0.4090 0.4043 0.3176 1
Y5 Y 0.4273 0.7947 0.0632 1
Y6 Y 0.5727 0.2053 0.9368 1
Y7 Y 0.5910 0.5957 0.6824 1
Y8 Y 0.7312 0.0466 0.5385 1
Y9 Y 0.8875 0.6739 0.2608 1
Y10 Y 0.9912 0.8011 0.8489 1
Rh1 Rh 0.0438 0.6673 0.5458 1
Rh2 Rh 0.2378 0.5021 0.0039 1
Rh3 Rh 0.3776 0.9713 0.7722 1
Rh4 Rh 0.6224 0.0287 0.2278 1
Rh5 Rh 0.7622 0.4979 0.9961 1
Rh6 Rh 0.9562 0.3327 0.4542 1
```

Top 8 peaks for 10 to 80 degrees two-theta, low angle first:
2θ = 30.78°, I = 75
2θ = 32.23°, I = 98
2θ = 33.54°, I = 90
2θ = 34.09°, I = 71
2θ = 34.55°, I = 100
2θ = 37.46°, I = 70
2θ = 37.63°, I = 92
2θ = 38.21°, I = 98


(11)
Simulated XRD peak list of Tb5TmSn4 for Cu Kα, 1.54184 Å, from a cell relaxed with GGA-PBE.

Cell and atoms:
```
data_Tb5TmSn4
_space_group_name_H-M_alt 'P 1'
_space_group_IT_number 1
_space_group_name_Hall 'P 1'
_cell_length_a 9.6769
_cell_length_b 9.6769
_cell_length_c 9.5449
_cell_angle_alpha 105.61
_cell_angle_beta 105.61
_cell_angle_gamma 21.87
loop_
_atom_site_label
_atom_site_type_symbol
_atom_site_fract_x
_atom_site_fract_y
_atom_site_fract_z
_atom_site_occupancy
Tb1 Tb 0.0000 0.0000 0.0000 1
Tb2 Tb 0.3254 0.3254 0.1412 1
Tb3 Tb 0.3347 0.3347 0.6853 1
Tb4 Tb 0.6653 0.6653 0.3147 1
Tb5 Tb 0.6746 0.6746 0.8588 1
Tm1 Tm 0.0000 0.0000 0.5000 1
Sn1 Sn 0.1671 0.1671 0.5865 1
Sn2 Sn 0.4957 0.4957 0.2470 1
Sn3 Sn 0.5043 0.5043 0.7530 1
Sn4 Sn 0.8329 0.8329 0.4135 1
```

Top 8 peaks for 10 to 80 degrees two-theta, low angle first:
2θ = 29.32°, I = 57
2θ = 30.73°, I = 100
2θ = 37.71°, I = 27
2θ = 42.66°, I = 42
2θ = 43.32°, I = 37
2θ = 47.87°, I = 15
2θ = 58.73°, I = 16
2θ = 72.41°, I = 14


(12)
Simulated XRD peak list of Cs2CdAu2 for Cu Kα, 1.54184 Å, from a cell relaxed with GGA-PBE.

Cell and atoms:
```
data_Cs2CdAu2
_space_group_name_H-M_alt 'P 1'
_space_group_IT_number 1
_space_group_name_Hall 'P 1'
_cell_length_a 10.6162
_cell_length_b 8.9558
_cell_length_c 7.8180
_cell_angle_alpha 78.21
_cell_angle_beta 55.67
_cell_angle_gamma 46.13
loop_
_atom_site_label
_atom_site_type_symbol
_atom_site_fract_x
_atom_site_fract_y
_atom_site_fract_z
_atom_site_occupancy
Cs1 Cs 0.0459 0.7041 0.0459 1
Cs2 Cs 0.2959 0.9541 0.2959 1
Cs3 Cs 0.7041 0.0459 0.7041 1
Cs4 Cs 0.9541 0.2959 0.9541 1
Cd1 Cd 0.3750 0.3750 0.3750 1
Cd2 Cd 0.6250 0.6250 0.6250 1
Au1 Au 0.0000 0.5000 0.5000 1
Au2 Au 0.5000 0.0000 0.5000 1
Au3 Au 0.5000 0.5000 0.0000 1
Au4 Au 0.5000 0.5000 0.5000 1
```

Top 8 peaks for 10 to 80 degrees two-theta, low angle first:
2θ = 14.45°, I = 79
2θ = 21.20°, I = 38
2θ = 26.01°, I = 62
2θ = 28.17°, I = 100
2θ = 29.13°, I = 67
2θ = 35.97°, I = 53
2θ = 41.28°, I = 42
2θ = 43.18°, I = 24